[1]
The following is a simulated XRD peak list of La2Si2O5. It was derived from a structure optimized by DFT (PBE), using λ = 1.5418 Å (Cu Kα).
Lines closer than 0.1° are merged.

Cell: 3.9476 3.9476 7.3406 Å, 90.00 90.00 90.00°
Space group P4/mmm (No. 123)
Asymmetric unit:
La 0.0000 0.0000 0.0000
La 0.0000 0.0000 0.5000
Si 0.5000 0.5000 0.2498
O 0.0000 0.5000 0.2411
O 0.5000 0.5000 0.0000

Peak list (10 most intense, 2θ = 5–70°, sorted by position)
| 2θ (°) | intensity | h k l |
| --- | --- | --- |
| 22.52 | 52 | 1 0 0 |
| 24.25 | 15 | 0 0 2 |
| 32.06 | 44 | 1 1 0 |
| 33.33 | 100 | 1 0 2 |
| 40.60 | 52 | 1 1 2 |
| 45.98 | 34 | 2 0 0 |
| 49.68 | 13 | 0 0 4 |
| 51.78 | 12 | 2 1 0 |
| 57.97 | 41 | 2 1 2 |
| 60.36 | 15 | 1 1 4 |



[2]
The following is a simulated XRD peak list of HfMg14BO15. It was derived from a structure optimized by DFT (PBE), using λ = 1.5418 Å (Cu Kα).
Lines closer than 0.1° are merged.

Cell: 4.2732 8.9695 8.5079 Å, 90.00 90.00 90.00°
Space group Pmm2 (No. 25)
Asymmetric unit:
Hf 0.0000 0.0000 0.0000
Mg 0.0000 0.0000 0.4906
Mg 0.0000 0.2468 0.7447
Mg 0.0000 0.2719 0.2448
Mg 0.0000 0.5000 0.5003
Mg 0.5000 0.0000 0.2547
Mg 0.5000 0.0000 0.7327
Mg 0.5000 0.2532 0.4970
Mg 0.5000 0.2778 0.9904
Mg 0.5000 0.5000 0.2380
Mg 0.5000 0.5000 0.7502
B 0.0000 0.5000 0.7827
O 0.0000 0.0000 0.2441
O 0.0000 0.0000 0.7508
O 0.0000 0.2266 0.0027
O 0.0000 0.2424 0.4931
O 0.0000 0.5000 0.2667
O 0.5000 0.0000 0.0032
O 0.5000 0.0000 0.4911
O 0.5000 0.2276 0.7462
O 0.5000 0.2538 0.2440
O 0.5000 0.5000 0.5045
O 0.5000 0.5000 0.9925

Peak list (10 most intense, 2θ = 5–70°, sorted by position)
| 2θ (°) | intensity | h k l |
| --- | --- | --- |
| 9.86 | 100 | 0 1 0 |
| 10.40 | 40 | 0 0 1 |
| 14.35 | 78 | 0 1 1 |
| 23.09 | 61 | 1 1 0 |
| 25.35 | 57 | 1 1 1 |
| 35.89 | 48 | 1 2 2 |
| 40.22 | 64 | 0 4 0 |
| 42.30 | 59 | 2 0 0 |
| 42.51 | 60 | 0 0 4 |
| 59.96 | 44 | 0 4 4 |



Repeat the first record exactly.
The following is a simulated XRD peak list of La2Si2O5. It was derived from a structure optimized by DFT (PBE), using λ = 1.5418 Å (Cu Kα).
Lines closer than 0.1° are merged.

Cell: 3.9476 3.9476 7.3406 Å, 90.00 90.00 90.00°
Space group P4/mmm (No. 123)
Asymmetric unit:
La 0.0000 0.0000 0.0000
La 0.0000 0.0000 0.5000
Si 0.5000 0.5000 0.2498
O 0.0000 0.5000 0.2411
O 0.5000 0.5000 0.0000

Peak list (10 most intense, 2θ = 5–70°, sorted by position)
| 2θ (°) | intensity | h k l |
| --- | --- | --- |
| 22.52 | 52 | 1 0 0 |
| 24.25 | 15 | 0 0 2 |
| 32.06 | 44 | 1 1 0 |
| 33.33 | 100 | 1 0 2 |
| 40.60 | 52 | 1 1 2 |
| 45.98 | 34 | 2 0 0 |
| 49.68 | 13 | 0 0 4 |
| 51.78 | 12 | 2 1 0 |
| 57.97 | 41 | 2 1 2 |
| 60.36 | 15 | 1 1 4 |



Please write out number 2 again, unchanged.
The following is a simulated XRD peak list of HfMg14BO15. It was derived from a structure optimized by DFT (PBE), using λ = 1.5418 Å (Cu Kα).
Lines closer than 0.1° are merged.

Cell: 4.2732 8.9695 8.5079 Å, 90.00 90.00 90.00°
Space group Pmm2 (No. 25)
Asymmetric unit:
Hf 0.0000 0.0000 0.0000
Mg 0.0000 0.0000 0.4906
Mg 0.0000 0.2468 0.7447
Mg 0.0000 0.2719 0.2448
Mg 0.0000 0.5000 0.5003
Mg 0.5000 0.0000 0.2547
Mg 0.5000 0.0000 0.7327
Mg 0.5000 0.2532 0.4970
Mg 0.5000 0.2778 0.9904
Mg 0.5000 0.5000 0.2380
Mg 0.5000 0.5000 0.7502
B 0.0000 0.5000 0.7827
O 0.0000 0.0000 0.2441
O 0.0000 0.0000 0.7508
O 0.0000 0.2266 0.0027
O 0.0000 0.2424 0.4931
O 0.0000 0.5000 0.2667
O 0.5000 0.0000 0.0032
O 0.5000 0.0000 0.4911
O 0.5000 0.2276 0.7462
O 0.5000 0.2538 0.2440
O 0.5000 0.5000 0.5045
O 0.5000 0.5000 0.9925

Peak list (10 most intense, 2θ = 5–70°, sorted by position)
| 2θ (°) | intensity | h k l |
| --- | --- | --- |
| 9.86 | 100 | 0 1 0 |
| 10.40 | 40 | 0 0 1 |
| 14.35 | 78 | 0 1 1 |
| 23.09 | 61 | 1 1 0 |
| 25.35 | 57 | 1 1 1 |
| 35.89 | 48 | 1 2 2 |
| 40.22 | 64 | 0 4 0 |
| 42.30 | 59 | 2 0 0 |
| 42.51 | 60 | 0 0 4 |
| 59.96 | 44 | 0 4 4 |



Please write out number 1 again, unchanged.
The following is a simulated XRD peak list of La2Si2O5. It was derived from a structure optimized by DFT (PBE), using λ = 1.5418 Å (Cu Kα).
Lines closer than 0.1° are merged.

Cell: 3.9476 3.9476 7.3406 Å, 90.00 90.00 90.00°
Space group P4/mmm (No. 123)
Asymmetric unit:
La 0.0000 0.0000 0.0000
La 0.0000 0.0000 0.5000
Si 0.5000 0.5000 0.2498
O 0.0000 0.5000 0.2411
O 0.5000 0.5000 0.0000

Peak list (10 most intense, 2θ = 5–70°, sorted by position)
| 2θ (°) | intensity | h k l |
| --- | --- | --- |
| 22.52 | 52 | 1 0 0 |
| 24.25 | 15 | 0 0 2 |
| 32.06 | 44 | 1 1 0 |
| 33.33 | 100 | 1 0 2 |
| 40.60 | 52 | 1 1 2 |
| 45.98 | 34 | 2 0 0 |
| 49.68 | 13 | 0 0 4 |
| 51.78 | 12 | 2 1 0 |
| 57.97 | 41 | 2 1 2 |
| 60.36 | 15 | 1 1 4 |